# 1
Ba3NbCd2O8: simulated XRD peak list (CuKα), based on a cell relaxed with GGA-PBE.
Peak positions follow from Bragg's law for the DFT cell and can differ from measured ones.

Top 10 peaks for 10 to 80 degrees two-theta, by angle:
28.23°, I = 81
29.75°, I = 100
38.07°, I = 16
41.48°, I = 42
49.03°, I = 23
51.87°, I = 30
52.80°, I = 19
58.40°, I = 20
61.78°, I = 16
69.26°, I = 15

Cell lengths 6.006, 6.006, 7.960 Å; angles 90.00, 90.00, 120.00 degrees
Atoms (fractional coordinates):
Ba: 0.000 0.000 0.000
Ba: 0.333 0.667 0.627
Ba: 0.667 0.333 0.373
Nb: 0.000 0.000 0.500
Cd: 0.333 0.667 0.197
Cd: 0.667 0.333 0.803
O: 0.156 0.312 0.350
O: 0.156 0.844 0.350
O: 0.312 0.156 0.650
O: 0.333 0.667 0.939
O: 0.667 0.333 0.061
O: 0.688 0.844 0.350
O: 0.844 0.156 0.650
O: 0.844 0.688 0.650

# 2
Rb2ZrCl5: simulated XRD peak list (CuKα), based on a cell relaxed with GGA-PBE.
Peak positions follow from Bragg's law for the DFT cell and can differ from measured ones.

Top 10 peaks for 10 to 80 degrees two-theta, by angle:
14.86°, I = 100
22.28°, I = 36
25.37°, I = 97
26.89°, I = 22
29.98°, I = 88
31.72°, I = 95
41.04°, I = 44
42.05°, I = 23
45.46°, I = 29
52.11°, I = 21

Cell lengths 7.201, 7.201, 7.980 Å; angles 123.54, 123.54, 67.30 degrees
Atoms (fractional coordinates):
Rb: 0.000 0.000 0.000
Rb: 0.500 0.500 0.499
Zr: 0.313 0.313 0.812
Cl: 0.022 0.457 0.956
Cl: 0.023 0.458 0.523
Cl: 0.457 0.022 0.956
Cl: 0.458 0.023 0.523
Cl: 0.575 0.575 0.076

# 3
DyY5Tm5: simulated XRD peak list (CuKα), based on a cell relaxed with GGA-PBE.
Peak positions follow from Bragg's law for the DFT cell and can differ from measured ones.

Top 10 peaks for 10 to 80 degrees two-theta, by angle:
23.19°, I = 16
25.19°, I = 15
31.81°, I = 23
32.12°, I = 54
32.31°, I = 100
32.61°, I = 88
33.34°, I = 28
50.90°, I = 17
57.18°, I = 15
57.75°, I = 17

Cell lengths 6.823, 6.823, 8.485 Å; angles 75.22, 75.27, 70.42 degrees
Atoms (fractional coordinates):
Dy: 0.000 0.000 0.000
Y: 0.000 0.500 0.000
Y: 0.147 0.645 0.363
Y: 0.316 0.809 0.637
Y: 0.684 0.191 0.363
Y: 0.853 0.355 0.637
Tm: 0.226 0.148 0.277
Tm: 0.352 0.270 0.725
Tm: 0.500 0.500 0.000
Tm: 0.648 0.730 0.275
Tm: 0.774 0.852 0.723

# 4
Lu4Co3: simulated XRD peak list (CuKα), based on a cell relaxed with GGA-PBE.
Peak positions follow from Bragg's law for the DFT cell and can differ from measured ones.

Top 10 peaks for 10 to 80 degrees two-theta, by angle:
33.60°, I = 100
33.96°, I = 34
36.23°, I = 26
39.88°, I = 9
43.57°, I = 20
45.65°, I = 17
56.12°, I = 11
58.10°, I = 13
64.94°, I = 10
65.60°, I = 21

Cell lengths 10.991, 10.991, 3.975 Å; angles 90.00, 90.00, 120.00 degrees
Atoms (fractional coordinates):
Lu: 0.022 0.776 0.249
Lu: 0.135 0.514 0.249
Lu: 0.224 0.247 0.249
Lu: 0.247 0.022 0.751
Lu: 0.380 0.865 0.249
Lu: 0.486 0.620 0.249
Lu: 0.514 0.380 0.751
Lu: 0.620 0.135 0.751
Lu: 0.753 0.978 0.249
Lu: 0.776 0.753 0.751
Lu: 0.865 0.486 0.751
Lu: 0.978 0.224 0.751
Co: 0.000 0.000 0.000
Co: 0.154 0.718 0.752
Co: 0.282 0.437 0.752
Co: 0.333 0.667 0.748
Co: 0.437 0.154 0.248
Co: 0.563 0.846 0.752
Co: 0.667 0.333 0.252
Co: 0.718 0.563 0.248
Co: 0.846 0.282 0.248

# 5
U2PaMn9: simulated XRD peak list (CuKα), based on a cell relaxed with GGA-PBE.
Peak positions follow from Bragg's law for the DFT cell and can differ from measured ones.

Top 10 peaks for 10 to 80 degrees two-theta, by angle:
17.18°, I = 45
30.08°, I = 41
34.77°, I = 31
34.91°, I = 34
39.16°, I = 100
41.46°, I = 30
42.99°, I = 67
43.83°, I = 56
60.83°, I = 24
69.30°, I = 26

Cell lengths 8.127, 8.127, 5.160 Å; angles 90.00, 90.00, 90.00 degrees
Atoms (fractional coordinates):
U: 0.116 0.384 0.000
U: 0.384 0.884 0.000
U: 0.616 0.116 0.000
U: 0.884 0.616 0.000
Pa: 0.000 0.000 0.000
Pa: 0.500 0.500 0.000
Mn: 0.000 0.500 0.500
Mn: 0.069 0.204 0.500
Mn: 0.182 0.682 0.253
Mn: 0.182 0.682 0.747
Mn: 0.204 0.931 0.500
Mn: 0.296 0.431 0.500
Mn: 0.318 0.182 0.253
Mn: 0.318 0.182 0.747
Mn: 0.431 0.704 0.500
Mn: 0.500 0.000 0.500
Mn: 0.569 0.296 0.500
Mn: 0.682 0.818 0.253
Mn: 0.682 0.818 0.747
Mn: 0.704 0.569 0.500
Mn: 0.796 0.069 0.500
Mn: 0.818 0.318 0.253
Mn: 0.818 0.318 0.747
Mn: 0.931 0.796 0.500

# 6
TlHBr: simulated XRD peak list (CuKα), based on a cell relaxed with GGA-PBE.
Peak positions follow from Bragg's law for the DFT cell and can differ from measured ones.

Top 10 peaks for 10 to 80 degrees two-theta, by angle:
10.53°, I = 52
19.62°, I = 29
21.14°, I = 48
24.73°, I = 35
26.83°, I = 100
28.90°, I = 22
31.95°, I = 25
34.41°, I = 58
42.21°, I = 60
50.71°, I = 27

Cell lengths 9.037, 9.037, 9.037 Å; angles 149.91, 149.82, 43.14 degrees
Atoms (fractional coordinates):
Tl: 0.150 0.150 0.000
Tl: 0.850 0.850 0.000
H: 0.500 0.080 0.580
H: 0.500 0.920 0.420
Br: 0.337 0.337 0.000
Br: 0.663 0.663 0.000

# 7
Sr2Ir2O: simulated XRD peak list (CuKα), based on a cell relaxed with GGA-PBE.
Peak positions follow from Bragg's law for the DFT cell and can differ from measured ones.

Top 10 peaks for 10 to 80 degrees two-theta, by angle:
20.16°, I = 25
21.18°, I = 34
27.11°, I = 37
30.13°, I = 100
40.98°, I = 50
43.14°, I = 38
44.03°, I = 28
51.70°, I = 26
54.28°, I = 31
71.08°, I = 17

Cell lengths 5.330, 5.330, 5.330 Å; angles 112.38, 112.38, 103.80 degrees
Atoms (fractional coordinates):
Sr: 0.250 0.750 0.500
Sr: 0.750 0.250 0.500
Ir: 0.189 0.189 0.000
Ir: 0.811 0.811 0.000
O: 0.500 0.500 0.000

# 8
CdIn3Hg3: simulated XRD peak list (CuKα), based on a cell relaxed with GGA-PBE.
Peak positions follow from Bragg's law for the DFT cell and can differ from measured ones.

Top 10 peaks for 10 to 80 degrees two-theta, by angle:
11.75°, I = 41
28.01°, I = 80
30.80°, I = 47
33.49°, I = 96
34.51°, I = 55
36.01°, I = 100
38.91°, I = 97
42.00°, I = 36
47.44°, I = 54
47.66°, I = 65

Cell lengths 8.737, 8.737, 8.737 Å; angles 52.05, 52.05, 52.05 degrees
Atoms (fractional coordinates):
Cd: 0.183 0.183 0.183
Cd: 0.817 0.817 0.817
In: 0.277 0.702 0.702
In: 0.298 0.298 0.723
In: 0.298 0.723 0.298
In: 0.702 0.277 0.702
In: 0.702 0.702 0.277
In: 0.723 0.298 0.298
Hg: 0.162 0.162 0.569
Hg: 0.162 0.569 0.162
Hg: 0.431 0.838 0.838
Hg: 0.569 0.162 0.162
Hg: 0.838 0.431 0.838
Hg: 0.838 0.838 0.431

# 9
LaPm3Tl2: simulated XRD peak list (CuKα), based on a cell relaxed with GGA-PBE.
Peak positions follow from Bragg's law for the DFT cell and can differ from measured ones.

Top 10 peaks for 10 to 80 degrees two-theta, by angle:
28.80°, I = 12
30.91°, I = 100
31.05°, I = 12
32.14°, I = 47
33.56°, I = 25
34.08°, I = 37
36.70°, I = 16
40.63°, I = 11
50.95°, I = 12
59.01°, I = 23

Cell lengths 5.262, 10.402, 6.917 Å; angles 90.00, 90.00, 90.00 degrees
Atoms (fractional coordinates):
La: 0.000 0.046 0.000
La: 0.000 0.954 0.500
Pm: 0.000 0.316 0.616
Pm: 0.000 0.684 0.116
Pm: 0.500 0.190 0.263
Pm: 0.500 0.455 0.889
Pm: 0.500 0.545 0.389
Pm: 0.500 0.810 0.763
Tl: 0.000 0.369 0.148
Tl: 0.000 0.631 0.648
Tl: 0.500 0.137 0.731
Tl: 0.500 0.863 0.231

# 10
Cd2Ni2Sn: simulated XRD peak list (CuKα), based on a cell relaxed with GGA-PBE.
Peak positions follow from Bragg's law for the DFT cell and can differ from measured ones.

Top 10 peaks for 10 to 80 degrees two-theta, by angle:
29.19°, I = 23
35.11°, I = 32
37.75°, I = 100
38.70°, I = 8
43.48°, I = 45
44.64°, I = 24
62.53°, I = 9
64.08°, I = 28
64.29°, I = 9
77.65°, I = 17

Cell lengths 6.581, 6.581, 4.060 Å; angles 90.00, 90.00, 90.00 degrees
Atoms (fractional coordinates):
Cd: 0.159 0.341 0.000
Cd: 0.341 0.841 0.000
Cd: 0.659 0.159 0.000
Cd: 0.841 0.659 0.000
Ni: 0.137 0.637 0.500
Ni: 0.363 0.137 0.500
Ni: 0.637 0.863 0.500
Ni: 0.863 0.363 0.500
Sn: 0.000 0.000 0.500
Sn: 0.500 0.500 0.500

# 11
SiSn3Os: simulated XRD peak list (CuKα), based on a cell relaxed with GGA-PBE.
Peak positions follow from Bragg's law for the DFT cell and can differ from measured ones.

Top 10 peaks for 10 to 80 degrees two-theta, by angle:
17.27°, I = 100
24.52°, I = 10
30.15°, I = 20
34.95°, I = 79
39.24°, I = 54
50.27°, I = 57
53.55°, I = 28
62.69°, I = 20
65.56°, I = 12
76.50°, I = 16

Cell lengths 5.134, 5.134, 5.134 Å; angles 90.00, 90.00, 90.00 degrees
Atoms (fractional coordinates):
Si: 0.000 0.000 0.000
Sn: 0.000 0.500 0.500
Sn: 0.500 0.000 0.500
Sn: 0.500 0.500 0.000
Os: 0.500 0.500 0.500

# 12
LaCdSb2Pd5: simulated XRD peak list (CuKα), based on a cell relaxed with GGA-PBE.
Peak positions follow from Bragg's law for the DFT cell and can differ from measured ones.

Top 10 peaks for 10 to 80 degrees two-theta, by angle:
28.34°, I = 29
33.92°, I = 90
37.01°, I = 100
37.50°, I = 19
42.01°, I = 53
47.26°, I = 14
53.34°, I = 34
64.73°, I = 27
70.12°, I = 23
74.06°, I = 15

Cell lengths 4.858, 4.858, 8.274 Å; angles 90.00, 90.00, 90.00 degrees
Atoms (fractional coordinates):
La: 0.000 0.000 0.000
Cd: 0.000 0.000 0.500
Sb: 0.500 0.500 0.328
Sb: 0.500 0.500 0.672
Pd: 0.000 0.500 0.214
Pd: 0.000 0.500 0.786
Pd: 0.500 0.000 0.214
Pd: 0.500 0.000 0.786
Pd: 0.500 0.500 0.000